For Li2CoSnP2O8, a GGA+U-relaxed structure gives the simulated XRD peak list in this record (λ = 1.5418 Å (Cu Kα)).
Intensities are scaled so that the largest is 100.

Peak list (10 most intense, 10 to 90 degrees two-theta, by angle)
15.48°, intensity 73, hkl 0 0 2; 19.43°, intensity 31, hkl 1 1 -1; 24.33°, intensity 100, hkl 2 0 -1; 24.59°, intensity 34, hkl 1 1 2; 24.93°, intensity 67, hkl 2 0 1; 29.23°, intensity 78, hkl 2 -2 0; 32.54°, intensity 75, hkl 2 0 -3; 34.62°, intensity 49, hkl 1 -1 4; 47.74°, intensity 34, hkl 2 2 -4; 50.11°, intensity 35, hkl 1 -1 6

Cell and atoms:
```
56
Lattice="7.8166 0.0000 0.0000 -1.7301 7.6285 0.0000 -0.3690 -0.4578 11.4460" Properties=species:S:1:pos:R:3 pbc="T T T"
Li 0.0000 0.0000 0.0000
Li -1.0496 3.5854 5.7230
Li 1.3184 1.6683 5.7106
Li 0.6531 5.7232 0.0014
Li 3.7238 -0.2289 5.7230
Li 3.0432 3.8143 0.0000
Li 5.0643 1.4476 11.4447
Li 4.3991 5.5025 5.7355
Co 0.1727 2.6701 2.2732
Co 2.4934 0.6861 9.1771
Co 3.2240 6.4847 2.2690
Co 5.5448 4.5007 9.1728
Sn -0.6427 6.5330 3.1862
Sn 1.5716 4.4193 8.2626
Sn 4.1458 2.7515 3.1834
Sn 6.3601 0.6378 8.2599
P 0.2282 2.7348 10.5769
P -0.3487 6.9165 7.0138
P 1.2892 4.0676 4.4297
P 2.4490 0.6169 0.8975
P 3.2684 6.5539 10.5485
P 4.4282 3.1031 7.0164
P 6.0662 0.2543 4.4323
P 5.4892 4.4360 0.8691
O -0.7309 1.5318 10.4871
O -1.3218 5.7410 7.1114
O -0.3629 4.0204 9.8775
O -0.1098 4.2749 3.7082
O 0.8660 0.6018 7.7396
O 1.0601 0.9005 1.6005
O 0.9634 3.6399 0.5777
O 0.0063 7.3486 5.5633
O 0.9472 3.6211 5.8783
O 1.7255 -0.2905 10.8930
O 1.6114 2.4434 9.8723
O 1.8426 2.7853 3.6848
O 1.0242 6.6620 7.7571
O 1.3048 6.9530 1.5991
O 2.2152 5.2788 4.3283
O 3.4092 1.8179 0.9855
O 2.3082 5.3529 10.4606
O 3.5022 1.8920 7.1178
O 4.4126 0.2177 9.8470
O 4.6932 0.5087 3.6889
O 3.8748 4.3855 7.7613
O 4.1060 4.7274 1.5738
O 3.9919 7.4613 0.5530
O 4.7702 3.5496 5.5678
O 5.7111 -0.1778 5.8827
O 4.7540 3.5309 10.8683
O 4.6573 6.2703 9.8455
O 4.8514 6.5689 3.7064
O 5.8272 2.8959 7.7379
O 6.0803 3.1504 1.5685
O 7.0392 1.4298 4.3346
O 6.4483 5.6389 0.9589
```